For CaAgSnHg, DFT lattice parameters and positions (PBE) gives the simulated PXRD pattern in this record (a wavelength of 1.5418 Å).
Peak positions follow from Bragg's law for the DFT cell and can differ from measured ones.

Main lines, most intense first (10 to 80 degrees two-theta):
34.99°, intensity 100
62.77°, intensity 36
50.33°, intensity 18
21.22°, intensity 13
24.55°, intensity 12
73.93°, intensity 11
41.29°, intensity 8
56.77°, intensity 5
55.21°, intensity 4
43.21°, intensity 4
77.93°, intensity 3
67.06°, intensity 3

Cell and atoms:
```
CaAgSnHg
1.0
0.000 3.626 3.626
3.626 0.000 3.626
3.626 3.626 0.000
Ca Ag Sn Hg
1 1 1 1
Direct
0.000 0.000 0.000
0.750 0.750 0.750
0.500 0.500 0.500
0.250 0.250 0.250
```

For Ho3GeSe6, DFT lattice parameters and positions (PBE) gives the simulated PXRD pattern in this record (a wavelength of 1.5418 Å).
Peak positions follow from Bragg's law for the DFT cell and can differ from measured ones.

Main lines, most intense first (10 to 80 degrees two-theta):
24.25°, intensity 100
36.24°, intensity 84
33.58°, intensity 73
40.56°, intensity 62
24.53°, intensity 55
36.83°, intensity 50
47.16°, intensity 44
16.46°, intensity 34
49.07°, intensity 25
47.62°, intensity 21
62.91°, intensity 20
67.39°, intensity 18

Cell and atoms:
```
Ho3GeSe6
1.0
5.570 -6.945 0.000
5.570 6.945 0.000
0.000 0.000 6.859
Ho Ge Se
6 2 12
Direct
0.096 0.904 0.500
0.218 0.413 0.407
0.413 0.218 0.907
0.587 0.782 0.407
0.782 0.587 0.907
0.904 0.096 0.000
0.299 0.701 0.866
0.701 0.299 0.366
0.058 0.597 0.676
0.129 0.196 0.705
0.196 0.129 0.205
0.281 0.719 0.247
0.403 0.942 0.676
0.466 0.534 0.708
0.534 0.466 0.208
0.597 0.058 0.176
0.719 0.281 0.747
0.804 0.871 0.705
0.871 0.804 0.205
0.942 0.403 0.176
```

For Ac7Ir4Pd, DFT lattice parameters and positions (PBE) gives the simulated PXRD pattern in this record (a wavelength of 1.5418 Å).
Peak positions follow from Bragg's law for the DFT cell and can differ from measured ones.

Main lines, most intense first (10 to 80 degrees two-theta):
28.21°, intensity 100
29.68°, intensity 64
30.68°, intensity 52
27.68°, intensity 48
42.54°, intensity 44
28.58°, intensity 41
32.72°, intensity 28
41.12°, intensity 27
34.89°, intensity 26
37.61°, intensity 26
51.83°, intensity 25
42.41°, intensity 24

Cell and atoms:
```
Ac7Ir4Pd
1.0
7.143 -2.125 0.000
7.143 2.125 0.000
-3.295 0.000 12.500
Ac Ir Pd
7 4 1
Direct
0.000 0.000 0.000
0.222 0.222 0.860
0.306 0.306 0.435
0.518 0.518 0.290
0.610 0.610 0.597
0.770 0.770 0.145
0.919 0.919 0.696
0.264 0.264 0.646
0.381 0.381 0.073
0.566 0.566 0.833
0.958 0.958 0.454
0.147 0.147 0.222
```